Nd2Te3: theoretical PXRD pattern (Cu Kα X-rays), based on a crystal structure in OQMD, relaxed with PBE.

Atomic structure:
Cell lengths 9.0271, 12.7224, 27.0146 Å; angles 90.00, 90.00, 90.00 degrees
Space group Fddd (No. 70, origin choice 2)
Inequivalent atoms, fractional coordinates:
Nd1 0.1250 0.1250 0.0417 (multiplicity 16)
Nd2 0.1250 0.1250 0.3757 (multiplicity 16)
Te1 0.1230 0.3745 0.2076 (multiplicity 32)
Te2 0.1250 0.3750 0.3750 (multiplicity 16)

Top 10 peaks for 2θ = 10–90°, in order of rising 2θ:
- 2θ = 12.5°, intensity 16, hkl 1 1 1
- 2θ = 28.0°, intensity 100, hkl 2 0 6
- 2θ = 40.0°, intensity 64, hkl 4 0 0
- 2θ = 40.1°, intensity 13, hkl 0 0 12
- 2θ = 49.6°, intensity 27, hkl 4 4 0
- 2θ = 57.9°, intensity 9, hkl 4 0 12
- 2θ = 65.6°, intensity 29, hkl 4 4 12
- 2θ = 72.6°, intensity 9, hkl 6 4 6
- 2θ = 72.8°, intensity 17, hkl 4 8 0
- 2θ = 86.4°, intensity 7, hkl 4 8 12

=====

Gd2Al3Hg3: theoretical PXRD pattern (Cu Kα X-rays), based on a crystal structure in OQMD, relaxed with PBE.

Atomic structure:
Cell lengths 6.6270, 6.6270, 4.6781 Å; angles 90.00, 90.00, 120.00 degrees
Space group P-6m2 (No. 187)
Inequivalent atoms, fractional coordinates:
Gd1 0.0000 0.0000 0.0000 (multiplicity 1)
Gd2 0.3333 0.6667 0.5000 (multiplicity 1)
Al1 0.3804 0.1902 0.5000 (multiplicity 3)
Hg1 0.5066 0.0131 0.0000 (multiplicity 3)

Top 10 peaks for 2θ = 10–90°, in order of rising 2θ:
- 2θ = 15.4°, intensity 10, hkl 1 0 0
- 2θ = 19.0°, intensity 28, hkl 0 0 1
- 2θ = 31.2°, intensity 43, hkl 2 0 0
- 2θ = 36.7°, intensity 100, hkl 2 0 1
- 2θ = 38.5°, intensity 18, hkl 0 0 2
- 2θ = 50.3°, intensity 23, hkl 2 0 2
- 2θ = 55.5°, intensity 18, hkl 2 2 0
- 2θ = 59.2°, intensity 11, hkl 2 2 1
- 2θ = 68.4°, intensity 32, hkl 2 0 3
- 2θ = 69.5°, intensity 18, hkl 2 2 2

=====

NbCd2BiO6: theoretical PXRD pattern (Cu Kα X-rays), based on a crystal structure in OQMD, relaxed with PBE.

Atomic structure:
Cell lengths 8.7714, 11.8868, 5.5757 Å; angles 90.00, 90.00, 90.00 degrees
Space group Cmc2_1 (No. 36)
Inequivalent atoms, fractional coordinates:
Nb1 0.0000 0.1853 0.0000 (multiplicity 4)
Cd1 0.1938 0.0995 0.5195 (multiplicity 8)
Bi1 0.0000 0.4038 0.5460 (multiplicity 4)
O1 0.0000 0.0379 0.8838 (multiplicity 4)
O2 0.0000 0.1972 0.3431 (multiplicity 4)
O3 0.1556 0.4875 0.2774 (multiplicity 8)
O4 0.1668 0.2536 0.8544 (multiplicity 8)

Top 10 peaks for 2θ = 10–90°, in order of rising 2θ:
- 2θ = 20.3°, intensity 14, hkl 2 0 0
- 2θ = 29.5°, intensity 53, hkl 1 3 1
- 2θ = 30.0°, intensity 100, hkl 2 2 1
- 2θ = 32.1°, intensity 24, hkl 0 0 2
- 2θ = 44.6°, intensity 14, hkl 0 4 2
- 2θ = 45.6°, intensity 19, hkl 3 1 2
- 2θ = 49.4°, intensity 20, hkl 3 5 0
- 2θ = 55.9°, intensity 16, hkl 2 2 3
- 2θ = 60.0°, intensity 15, hkl 5 3 1
- 2θ = 60.2°, intensity 15, hkl 3 5 2

=====

LaZnInTe3: theoretical PXRD pattern (Cu Kα X-rays), based on a crystal structure in OQMD, relaxed with PBE.

Atomic structure:
Cell lengths 12.0718, 4.4741, 15.2142 Å; angles 90.00, 90.00, 90.00 degrees
Space group Pnma (No. 62)
Inequivalent atoms, fractional coordinates:
La1 0.0127 0.2500 0.2367 (multiplicity 4)
Zn1 0.2383 0.2500 0.7171 (multiplicity 4)
In1 0.2130 0.7500 0.5056 (multiplicity 4)
Te1 0.0523 0.2500 0.6191 (multiplicity 4)
Te2 0.0958 0.7500 0.1005 (multiplicity 4)
Te3 0.2435 0.7500 0.8260 (multiplicity 4)

Top 10 peaks for 2θ = 10–90°, in order of rising 2θ:
- 2θ = 25.0°, intensity 52, hkl 3 0 2
- 2θ = 26.6°, intensity 46, hkl 0 1 3
- 2θ = 27.6°, intensity 100, hkl 1 1 3
- 2θ = 29.6°, intensity 22, hkl 4 0 0
- 2θ = 30.5°, intensity 94, hkl 2 1 3
- 2θ = 36.4°, intensity 22, hkl 4 1 1
- 2θ = 38.5°, intensity 27, hkl 2 0 6
- 2θ = 38.8°, intensity 32, hkl 2 1 5
- 2θ = 40.3°, intensity 42, hkl 0 2 0
- 2θ = 42.4°, intensity 23, hkl 3 1 5

=====

SmDySc2Sb2: theoretical PXRD pattern (Cu Kα X-rays), based on a crystal structure in OQMD, relaxed with PBE.

Atomic structure:
Cell lengths 4.3749, 4.3749, 16.3596 Å; angles 90.00, 90.00, 90.00 degrees
Space group I4mm (No. 107)
Inequivalent atoms, fractional coordinates:
Sm1 0.0000 0.0000 0.0000 (multiplicity 2)
Dy1 0.0000 0.0000 0.3518 (multiplicity 2)
Sc1 0.0000 0.5000 0.1773 (multiplicity 4)
Sb1 0.0000 0.0000 0.5465 (multiplicity 2)
Sb2 0.0000 0.0000 0.8066 (multiplicity 2)

Top 10 peaks for 2θ = 10–90°, in order of rising 2θ:
- 2θ = 21.7°, intensity 27, hkl 0 0 4
- 2θ = 28.9°, intensity 100, hkl 1 1 0
- 2θ = 30.9°, intensity 67, hkl 1 1 2
- 2θ = 32.8°, intensity 31, hkl 0 0 6
- 2θ = 34.2°, intensity 81, hkl 1 0 5
- 2θ = 36.4°, intensity 89, hkl 1 1 4
- 2θ = 41.3°, intensity 73, hkl 2 0 0
- 2θ = 53.7°, intensity 32, hkl 2 0 6
- 2θ = 54.7°, intensity 66, hkl 1 0 9
- 2θ = 70.7°, intensity 31, hkl 2 1 9

=====

Nb4NiAsC2: theoretical PXRD pattern (Cu Kα X-rays), based on a crystal structure in OQMD, relaxed with PBE.

Atomic structure:
Cell lengths 3.2212, 3.2212, 12.5278 Å; angles 90.00, 90.00, 120.00 degrees
Space group P-6m2 (No. 187)
Inequivalent atoms, fractional coordinates:
Nb1 0.0000 0.0000 0.1529 (multiplicity 2)
Nb2 0.6667 0.3333 0.3452 (multiplicity 2)
Ni1 0.0000 0.0000 0.5000 (multiplicity 1)
As1 0.6667 0.3333 0.0000 (multiplicity 1)
C1 0.3333 0.6667 0.2517 (multiplicity 2)

Top 10 peaks for 2θ = 10–90°, in order of rising 2θ:
- 2θ = 32.1°, intensity 25, hkl 1 0 0
- 2θ = 38.8°, intensity 100, hkl 1 0 3
- 2θ = 43.3°, intensity 13, hkl 0 0 6
- 2θ = 54.9°, intensity 12, hkl 1 0 6
- 2θ = 57.2°, intensity 23, hkl 1 1 0
- 2θ = 61.6°, intensity 4, hkl 1 0 7
- 2θ = 71.3°, intensity 16, hkl 2 0 3
- 2θ = 74.4°, intensity 16, hkl 1 1 6
- 2θ = 76.5°, intensity 9, hkl 1 0 9
- 2θ = 83.3°, intensity 3, hkl 2 0 6

=====

U2Al9Co3: theoretical PXRD pattern (Cu Kα X-rays), based on a crystal structure in OQMD, relaxed with PBE.

Atomic structure:
Cell lengths 12.7980, 7.5126, 9.2061 Å; angles 90.00, 90.00, 90.00 degrees
Space group Cmcm (No. 63)
Inequivalent atoms, fractional coordinates:
U1 0.1605 0.1656 0.2500 (multiplicity 8)
Al1 0.0000 0.1269 0.7500 (multiplicity 4)
Al2 0.0000 0.3337 0.0474 (multiplicity 8)
Al3 0.1070 0.4477 0.7500 (multiplicity 8)
Al4 0.1683 0.1683 0.5724 (multiplicity 16)
Co1 0.0000 0.0000 0.0000 (multiplicity 4)
Co2 0.1721 0.5000 0.0000 (multiplicity 8)

Top 10 peaks for 2θ = 10–90°, in order of rising 2θ:
- 2θ = 16.7°, intensity 64, hkl 1 1 1
- 2θ = 25.6°, intensity 52, hkl 0 2 1
- 2θ = 25.9°, intensity 100, hkl 3 1 1
- 2θ = 31.0°, intensity 55, hkl 3 1 2
- 2θ = 37.9°, intensity 45, hkl 0 2 3
- 2θ = 38.1°, intensity 88, hkl 3 1 3
- 2θ = 39.1°, intensity 37, hkl 0 0 4
- 2θ = 41.8°, intensity 75, hkl 3 3 0
- 2θ = 42.4°, intensity 35, hkl 6 0 0
- 2θ = 58.6°, intensity 35, hkl 3 3 4

=====

Na4MgSn2Hg: theoretical PXRD pattern (Cu Kα X-rays), based on a crystal structure in OQMD, relaxed with PBE.

Atomic structure:
Cell lengths 5.0201, 5.0201, 9.9766 Å; angles 90.00, 90.00, 120.00 degrees
Space group P-6m2 (No. 187)
Inequivalent atoms, fractional coordinates:
Na1 0.0000 0.0000 0.1684 (multiplicity 2)
Na2 0.6667 0.3333 0.3297 (multiplicity 2)
Mg1 0.3333 0.6667 0.0000 (multiplicity 1)
Sn1 0.0000 0.0000 0.5000 (multiplicity 1)
Sn2 0.6667 0.3333 0.0000 (multiplicity 1)
Hg1 0.3333 0.6667 0.5000 (multiplicity 1)

Top 10 peaks for 2θ = 10–90°, in order of rising 2θ:
- 2θ = 17.8°, intensity 84, hkl 0 0 2
- 2θ = 22.3°, intensity 100, hkl 1 0 1
- 2θ = 33.9°, intensity 71, hkl 1 0 3
- 2θ = 35.8°, intensity 85, hkl 1 1 0
- 2θ = 40.2°, intensity 67, hkl 1 1 2
- 2θ = 42.6°, intensity 20, hkl 2 0 1
- 2θ = 50.1°, intensity 24, hkl 2 0 3
- 2θ = 51.7°, intensity 34, hkl 1 1 4
- 2θ = 63.1°, intensity 24, hkl 2 1 3
- 2θ = 67.6°, intensity 26, hkl 1 1 6

=====

Ba4Os6ClO18: theoretical PXRD pattern (Cu Kα X-rays), based on a crystal structure in OQMD, relaxed with PBE.

Atomic structure:
Cell lengths 9.3789, 9.3789, 9.3789 Å; angles 90.00, 90.00, 90.00 degrees
Space group I23 (No. 197)
Inequivalent atoms, fractional coordinates:
Ba1 0.1851 0.1851 0.8149 (multiplicity 8)
Os1 0.0000 0.3658 0.5000 (multiplicity 12)
Cl1 0.0000 0.0000 0.0000 (multiplicity 2)
O1 0.0000 0.0000 0.3360 (multiplicity 12)
O2 0.0142 0.3584 0.2900 (multiplicity 24)

Top 10 peaks for 2θ = 10–90°, in order of rising 2θ:
- 2θ = 13.4°, intensity 57, hkl 1 1 0
- 2θ = 18.9°, intensity 26, hkl 2 0 0
- 2θ = 23.2°, intensity 37, hkl 2 1 1
- 2θ = 26.9°, intensity 32, hkl 2 2 0
- 2θ = 30.1°, intensity 100, hkl 3 1 0
- 2θ = 35.8°, intensity 70, hkl 3 2 1
- 2θ = 40.8°, intensity 32, hkl 4 1 1
- 2θ = 49.6°, intensity 61, hkl 4 1 3
- 2θ = 57.3°, intensity 22, hkl 5 0 3
- 2θ = 59.1°, intensity 35, hkl 6 0 0

=====

TbTm2Sn4Pd4: theoretical PXRD pattern (Cu Kα X-rays), based on a crystal structure in OQMD, relaxed with PBE.

Atomic structure:
Cell lengths 4.3622, 7.4167, 14.6089 Å; angles 90.00, 90.00, 90.00 degrees
Space group Immm (No. 71)
Inequivalent atoms, fractional coordinates:
Tb1 0.0000 0.0000 0.0000 (multiplicity 2)
Tm1 0.0000 0.5000 0.1291 (multiplicity 4)
Sn1 0.0000 0.0000 0.2141 (multiplicity 4)
Sn2 0.0000 0.1961 0.5000 (multiplicity 4)
Pd1 0.0000 0.2968 0.3221 (multiplicity 8)

Top 10 peaks for 2θ = 10–90°, in order of rising 2θ:
- 2θ = 32.3°, intensity 100, hkl 1 2 1
- 2θ = 32.9°, intensity 27, hkl 0 1 5
- 2θ = 34.2°, intensity 78, hkl 1 1 4
- 2θ = 36.8°, intensity 19, hkl 1 2 3
- 2θ = 36.9°, intensity 18, hkl 0 0 6
- 2θ = 40.9°, intensity 26, hkl 0 3 3
- 2θ = 41.4°, intensity 41, hkl 2 0 0
- 2θ = 44.6°, intensity 31, hkl 1 2 5
- 2θ = 49.1°, intensity 18, hkl 0 4 0
- 2θ = 72.1°, intensity 21, hkl 1 5 4

=====

PmNbAl: theoretical PXRD pattern (Cu Kα X-rays), based on a crystal structure in OQMD, relaxed with PBE.

Atomic structure:
Cell lengths 6.8253, 6.8253, 6.8253 Å; angles 90.00, 90.00, 90.00 degrees
Space group F-43m (No. 216)
Inequivalent atoms, fractional coordinates:
Pm1 0.0000 0.0000 0.0000 (multiplicity 4)
Nb1 0.2500 0.2500 0.7500 (multiplicity 4)
Al1 0.0000 0.0000 0.5000 (multiplicity 4)

Top 10 peaks for 2θ = 10–90°, in order of rising 2θ:
- 2θ = 22.6°, intensity 79, hkl 1 1 1
- 2θ = 26.1°, intensity 11, hkl 2 0 0
- 2θ = 37.3°, intensity 100, hkl 2 2 0
- 2θ = 44.0°, intensity 41, hkl 3 1 1
- 2θ = 53.7°, intensity 17, hkl 4 0 0
- 2θ = 59.0°, intensity 17, hkl 3 3 1
- 2θ = 67.2°, intensity 35, hkl 4 2 2
- 2θ = 71.9°, intensity 12, hkl 5 1 1
- 2θ = 79.4°, intensity 11, hkl 4 4 0
- 2θ = 83.9°, intensity 12, hkl 5 3 1

=====

Ho2LuCu4Si2Ge2: theoretical PXRD pattern (Cu Kα X-rays), based on a crystal structure in OQMD, relaxed with PBE.

Atomic structure:
Cell lengths 4.1570, 6.5485, 13.6843 Å; angles 90.00, 90.00, 90.00 degrees
Space group Immm (No. 71)
Inequivalent atoms, fractional coordinates:
Ho1 0.0000 0.0000 0.1295 (multiplicity 4)
Lu1 0.0000 0.5000 0.0000 (multiplicity 2)
Cu1 0.0000 0.1907 0.3360 (multiplicity 8)
Si1 0.0000 0.3151 0.5000 (multiplicity 4)
Ge1 0.0000 0.5000 0.2159 (multiplicity 4)

Top 10 peaks for 2θ = 10–90°, in order of rising 2θ:
- 2θ = 22.4°, intensity 17, hkl 1 0 1
- 2θ = 27.2°, intensity 18, hkl 0 2 0
- 2θ = 35.5°, intensity 100, hkl 1 2 1
- 2θ = 36.7°, intensity 90, hkl 1 1 4
- 2θ = 40.3°, intensity 17, hkl 1 2 3
- 2θ = 43.5°, intensity 29, hkl 2 0 0
- 2θ = 46.1°, intensity 21, hkl 0 3 3
- 2θ = 57.4°, intensity 15, hkl 2 1 5
- 2θ = 61.2°, intensity 14, hkl 0 2 8
- 2θ = 65.3°, intensity 23, hkl 1 0 9

=====

Number 4 is which compound?
LaZnInTe3